Structure and theoretical powder diffractogram of TbHoErIn (the GGA-PBE geometry in Alexandria; Cu Kα (weighted mean of Kα1 and Kα2)).
Neutral-atom scattering factors, no anomalous dispersion.

Cell and atoms:
a = 4.829 Å, b = 4.829 Å, c = 4.830 Å
α = 90.00°, β = 90.00°, γ = 90.00°
Fractional coordinates of all 4 atoms:
Tb1 0.000 0.000 0.000
Ho1 0.000 0.500 0.500
Er1 0.500 0.500 0.000
In1 0.500 0.000 0.500

The 6 most intense peaks (2θ from 15° to 90°), by angle:
32.10°, rel. 100; 37.24°, rel. 50; 53.68°, rel. 35; 63.94°, rel. 41; 67.15°, rel. 12; 88.19°, rel. 18

Structure and theoretical powder diffractogram of TiMoW14 (the GGA-PBE geometry in Alexandria; Cu Kα (weighted mean of Kα1 and Kα2)).
Neutral-atom scattering factors, no anomalous dispersion.

Cell and atoms:
a = 5.506 Å, b = 5.506 Å, c = 9.006 Å
α = 90.00°, β = 90.00°, γ = 109.28°
Fractional coordinates of all 16 atoms:
Ti1 0.000 0.000 0.000
Mo1 0.500 0.500 0.000
W1 0.000 0.000 0.500
W2 0.000 0.500 0.000
W3 0.000 0.500 0.500
W4 0.249 0.751 0.249
W5 0.249 0.751 0.751
W6 0.250 0.250 0.251
W7 0.250 0.250 0.749
W8 0.500 0.000 0.000
W9 0.500 0.000 0.500
W10 0.500 0.500 0.500
W11 0.750 0.750 0.251
W12 0.750 0.750 0.749
W13 0.751 0.249 0.249
W14 0.751 0.249 0.751

The 6 most intense peaks (2θ from 15° to 90°), by angle:
40.06°, rel. 100; 40.17°, rel. 20; 58.02°, rel. 14; 72.76°, rel. 28; 72.92°, rel. 14; 86.48°, rel. 11

Structure and theoretical powder diffractogram of La2PmPrDy (the GGA-PBE geometry in Alexandria; Cu Kα (weighted mean of Kα1 and Kα2)).
Neutral-atom scattering factors, no anomalous dispersion.

Cell and atoms:
a = 6.545 Å, b = 7.970 Å, c = 6.864 Å
α = 90.00°, β = 90.00°, γ = 90.00°
Fractional coordinates of all 10 atoms:
La1 0.250 0.205 0.207
La2 0.250 0.795 0.207
La3 0.750 0.205 0.793
La4 0.750 0.795 0.793
Pm1 0.250 0.500 0.910
Pm2 0.750 0.500 0.090
Pr1 0.250 0.000 0.684
Pr2 0.750 0.000 0.316
Dy1 0.000 0.500 0.500
Dy2 0.500 0.500 0.500

The 6 most intense peaks (2θ from 15° to 90°), by angle:
27.25°, rel. 25; 28.31°, rel. 42; 29.29°, rel. 100; 31.50°, rel. 33; 32.32°, rel. 41; 37.97°, rel. 31

Which formula does entry 2 have? TiMoW14